Record 1
Calculated X-ray powder pattern of Er2Sc2Bi2P for a wavelength of 1.5418 Å, from DFT lattice parameters and positions (GGA-PBE).

Main lines, in order of falling intensity (2θ = 10–90°):
hkl  2θ (°)  I_rel
1 1 0  26.05  100
1 1 4  34.50  81
2 0 0  37.17  64
0 0 6  33.59  50
2 0 6  50.96  45
0 0 4  22.23  30
1 1 2  28.37  29
2 0 4  43.75  26
3 1 4  65.30  26
1 1 6  43.01  24

Cell and atoms:
a b c (Å): 4.8380 4.8380 15.9989
angles (deg): 90.00 90.00 90.00
Space group I4/mmm (No. 139)
Unique sites:
Er: 0.0000 0.0000 0.1660
Sc: 0.0000 0.5000 0.0000
Bi: 0.0000 0.0000 0.3625
P: 0.0000 0.0000 0.0000



Record 2
Calculated X-ray powder pattern of Er7BiPb5 for a wavelength of 1.5418 Å, from DFT lattice parameters and positions (GGA-PBE).

Main lines, in order of falling intensity (2θ = 10–90°):
hkl  2θ (°)  I_rel
2 2 0  32.17  100
2 2 2  36.51  75
0 4 2  35.64  43
2 6 0  56.19  35
0 0 4  33.84  32
2 0 2  32.86  29
1 3 0  27.24  25
2 2 6  62.29  25
1 1 4  37.62  24
0 4 0  31.23  23

Cell and atoms:
a b c (Å): 6.3579 11.4561 10.5946
angles (deg): 90.00 90.00 90.00
Space group Imm2 (No. 44)
Unique sites:
Er: 0.0000 0.0000 0.0000
Er: 0.0000 0.0000 0.3915
Er: 0.0000 0.3344 0.6099
Er: 0.0000 0.3385 0.0969
Er: 0.0000 0.5000 0.3511
Bi: 0.0000 0.0000 0.6802
Pb: 0.0000 0.5000 0.8503
Pb: 0.2482 0.2581 0.3548



Record 3
Calculated X-ray powder pattern of ErBi2Pd7 for a wavelength of 1.5418 Å, from DFT lattice parameters and positions (GGA-PBE).

Main lines, in order of falling intensity (2θ = 10–90°):
hkl  2θ (°)  I_rel
1 1 6  38.64  100
1 0 3  24.56  40
2 0 0  44.46  34
3 1 6  77.97  26
2 0 12  65.74  20
0 0 12  45.80  15
1 1 18  79.90  11
2 1 3  51.45  11
2 2 0  64.70  11
2 2 12  82.85  11

Cell and atoms:
a b c (Å): 4.0750 4.0750 23.7731
angles (deg): 90.00 90.00 90.00
Space group I4/mmm (No. 139)
Unique sites:
Er: 0.0000 0.0000 0.0000
Bi: 0.0000 0.0000 0.3322
Pd: 0.0000 0.0000 0.5000
Pd: 0.0000 0.5000 0.0870
Pd: 0.0000 0.5000 0.2500



Record 4
Calculated X-ray powder pattern of Er5BiPd for a wavelength of 1.5418 Å, from DFT lattice parameters and positions (GGA-PBE).

Main lines, in order of falling intensity (2θ = 10–90°):
hkl  2θ (°)  I_rel
2 2 -1  31.34  100
2 0 -4  32.50  59
2 2 0  31.46  47
4 0 -2  32.73  38
1 1 3  31.10  35
0 2 3  36.54  29
2 0 2  26.27  23
3 1 2  36.10  21
4 2 -5  53.75  18
3 1 -1  27.34  16

Cell and atoms:
a b c (Å): 11.2263 6.6870 11.3275
angles (deg): 90.00 106.00 90.00
Space group C2/c (No. 15)
Unique sites:
Er: 0.0000 0.0519 0.2500
Er: 0.1266 0.3461 0.0432
Er: 0.2230 0.1664 0.6424
Bi: 0.0000 0.4455 0.7500
Pd: 0.0000 0.0000 0.0000



Record 5
Calculated X-ray powder pattern of Er4BiPd for a wavelength of 1.5418 Å, from DFT lattice parameters and positions (GGA-PBE).

Main lines, in order of falling intensity (2θ = 10–90°):
hkl  2θ (°)  I_rel
1 1 4  30.81  100
2 1 3  33.99  89
0 1 5  32.03  40
0 2 0  45.12  37
3 0 1  32.63  35
3 0 4  37.34  31
2 0 5  31.51  28
0 0 8  37.00  26
2 1 5  38.83  25
2 1 0  30.95  24

Cell and atoms:
a b c (Å): 8.3162 4.0188 19.4350
angles (deg): 90.00 90.00 90.00
Space group Pnma (No. 62)
Unique sites:
Er: 0.0232 0.2500 0.0670
Er: 0.0513 0.7500 0.2131
Er: 0.1271 0.7500 0.6521
Er: 0.1483 0.7500 0.4479
Bi: 0.2495 0.2500 0.3140
Pd: 0.2208 0.2500 0.5538



Record 6
Calculated X-ray powder pattern of Er12BiPd6 for a wavelength of 1.5418 Å, from DFT lattice parameters and positions (GGA-PBE).

Main lines, in order of falling intensity (2θ = 10–90°):
hkl  2θ (°)  I_rel
3 1 2  33.81  100
5 2 3  57.25  31
2 2 2  31.23  27
5 3 0  53.89  20
5 0 1  46.69  20
3 0 1  28.45  18
5 3 4  66.67  16
4 0 0  36.22  15
7 0 5  83.90  15
6 0 0  55.58  13

Cell and atoms:
a b c (Å): 9.9203 9.9203 9.9203
angles (deg): 90.00 90.00 90.00
Space group Im-3 (No. 204)
Unique sites:
Er: 0.0000 0.2996 0.1854
Bi: 0.0000 0.0000 0.0000
Pd: 0.0000 0.1368 0.5000



Record 7
Calculated X-ray powder pattern of Er3BiPd12 for a wavelength of 1.5418 Å, from DFT lattice parameters and positions (GGA-PBE).

Main lines, in order of falling intensity (2θ = 10–90°):
hkl  2θ (°)  I_rel
1 1 4  37.90  100
2 0 0  44.05  49
3 1 4  76.90  37
2 2 0  64.05  32
2 2 8  81.01  11
1 0 0  21.61  5
1 1 0  30.75  5
2 1 0  49.57  3
2 1 4  54.68  2
3 0 0  68.46  1

Cell and atoms:
a b c (Å): 4.1110 4.1110 16.4523
angles (deg): 90.00 90.00 90.00
Space group P4/mmm (No. 123)
Unique sites:
Er: 0.0000 0.0000 0.0000
Er: 0.0000 0.0000 0.2460
Bi: 0.0000 0.0000 0.5000
Pd: 0.0000 0.5000 0.1247
Pd: 0.0000 0.5000 0.3744
Pd: 0.5000 0.5000 0.0000
Pd: 0.5000 0.5000 0.2518
Pd: 0.5000 0.5000 0.5000



Record 8
Calculated X-ray powder pattern of TbPm2ErBi5 for a wavelength of 1.5418 Å, from DFT lattice parameters and positions (GGA-PBE).

Main lines, in order of falling intensity (2θ = 10–90°):
hkl  2θ (°)  I_rel
2 0 0  32.86  100
2 0 4  45.19  78
1 1 0  23.08  61
0 0 4  30.14  58
1 1 1  24.28  55
2 2 4  56.98  44
1 1 3  32.44  40
1 1 2  27.60  38
2 2 0  47.16  37
4 2 4  86.28  29

Cell and atoms:
a b c (Å): 5.4509 5.4509 11.8611
angles (deg): 90.00 90.00 90.00
Space group P4/mmm (No. 123)
Unique sites:
Tb: 0.0000 0.0000 0.0000
Pm: 0.5000 0.5000 0.2247
Er: 0.0000 0.0000 0.5000
Bi: 0.0000 0.0000 0.2552
Bi: 0.0000 0.5000 0.0000
Bi: 0.5000 0.5000 0.5000



Record 9
Calculated X-ray powder pattern of PmErTm2Bi4 for a wavelength of 1.5418 Å, from DFT lattice parameters and positions (GGA-PBE).

Main lines, in order of falling intensity (2θ = 10–90°):
hkl  2θ (°)  I_rel
2 0 0  28.21  100
2 2 0  40.31  78
4 2 0  66.03  37
2 2 4  49.93  28
4 2 4  73.29  28
4 0 0  58.33  13
4 4 0  87.13  9
1 1 2  24.36  3
3 1 2  47.67  2
3 3 2  64.15  1

Cell and atoms:
a b c (Å): 6.3267 6.3267 12.6597
angles (deg): 90.00 90.00 90.00
Space group I4/mmm (No. 139)
Unique sites:
Pm: 0.0000 0.0000 0.0000
Er: 0.0000 0.0000 0.5000
Tm: 0.0000 0.5000 0.2500
Bi: 0.0000 0.0000 0.2534
Bi: 0.0000 0.5000 0.0000



Record 10
Calculated X-ray powder pattern of PrEr3Bi4 for a wavelength of 1.5418 Å, from DFT lattice parameters and positions (GGA-PBE).

Main lines, in order of falling intensity (2θ = 10–90°):
hkl  2θ (°)  I_rel
2 0 1  28.05  100
0 0 2  40.09  78
2 0 3  65.63  37
0 4 2  49.64  28
2 4 3  72.83  27
4 0 2  57.98  13
0 0 4  86.53  8
0 2 1  24.23  3
2 2 2  47.39  2
8 0 0  86.61  1

Cell and atoms:
a b c (Å): 8.9919 12.7224 4.5023
angles (deg): 90.00 90.00 90.00
Space group Cmmm (No. 65)
Unique sites:
Pr: 0.0000 0.0000 0.0000
Er: 0.0000 0.5000 0.0000
Er: 0.2500 0.2500 0.5000
Bi: 0.0000 0.2544 0.0000
Bi: 0.2413 0.5000 0.5000



Record 11
Calculated X-ray powder pattern of PrErBi for a wavelength of 1.5418 Å, from DFT lattice parameters and positions (GGA-PBE).

Main lines, in order of falling intensity (2θ = 10–90°):
hkl  2θ (°)  I_rel
1 1 2  34.07  100
1 1 1  29.12  68
2 0 0  38.97  55
0 0 3  30.23  30
2 0 3  50.09  29
3 1 2  67.46  28
1 0 3  36.06  28
2 2 0  56.29  19
2 1 3  54.13  18
1 1 0  27.28  18

Cell and atoms:
a b c (Å): 4.6226 4.6226 8.8705
angles (deg): 90.00 90.00 90.00
Space group P4/nmm (No. 129, origin choice 2)
Unique sites:
Pr: 0.2500 0.2500 0.1507
Er: 0.2500 0.7500 0.5000
Bi: 0.2500 0.2500 0.7713



Record 12
Calculated X-ray powder pattern of Pr2SmErBi5 for a wavelength of 1.5418 Å, from DFT lattice parameters and positions (GGA-PBE).

Main lines, in order of falling intensity (2θ = 10–90°):
hkl  2θ (°)  I_rel
2 0 0  32.37  100
2 0 4  44.70  76
1 1 0  22.74  59
1 1 1  23.95  58
0 0 4  29.98  56
1 1 3  32.11  40
2 2 4  56.26  39
1 1 2  27.27  38
2 2 0  46.44  37
1 1 4  37.95  27

Cell and atoms:
a b c (Å): 5.5310 5.5310 11.9238
angles (deg): 90.00 90.00 90.00
Space group P4/mmm (No. 123)
Unique sites:
Pr: 0.0000 0.0000 0.2227
Sm: 0.5000 0.5000 0.0000
Er: 0.5000 0.5000 0.5000
Bi: 0.0000 0.0000 0.5000
Bi: 0.0000 0.5000 0.0000
Bi: 0.5000 0.5000 0.2567



Record 13
Calculated X-ray powder pattern of Tb2PrEr3Bi6 for a wavelength of 1.5418 Å, from DFT lattice parameters and positions (GGA-PBE).

Main lines, in order of falling intensity (2θ = 10–90°):
hkl  2θ (°)  I_rel
6 0 0  28.07  100
0 2 0  40.12  78
1 3 -2  65.68  37
6 2 0  49.68  28
5 3 2  72.87  21
2 2 -4  58.03  13
14 0 -4  72.96  7
0 4 0  86.57  5
14 2 -4  86.67  4
3 1 0  24.25  3

Cell and atoms:
a b c (Å): 19.5825 4.4971 8.9902
angles (deg): 90.00 103.18 90.00
Space group C2/m (No. 12)
Unique sites:
Tb: 0.1675 0.0000 0.3334
Pr: 0.0000 0.5000 0.0000
Er: 0.0000 0.5000 0.5000
Er: 0.1653 0.0000 0.8319
Bi: 0.0001 0.0000 0.2589
Bi: 0.1658 0.5000 0.5845
Bi: 0.1702 0.5000 0.0825